Structure and theoretical powder diffractogram of K2Mn2Zn4Si4O15 (the GGA+U geometry in Alexandria; a wavelength of 1.5418 Å).
Intensities are scaled so that the largest is 100.

```
data_K2Mn2Zn4Si4O15
_cell_length_a 9.1719
_cell_length_b 15.9575
_cell_length_c 5.2781
_cell_angle_alpha 90.00
_cell_angle_beta 90.00
_cell_angle_gamma 90.00
_space_group_name_H-M_alt 'I m m 2'
_space_group_IT_number 44
_space_group_name_Hall 'I 2 -2'
loop_
_atom_site_label
_atom_site_type_symbol
_atom_site_fract_x
_atom_site_fract_y
_atom_site_fract_z
_atom_site_occupancy
K1 K 0.0000 0.1165 0.0000 1
Mn1 Mn 0.1591 0.5000 0.5445 1
Zn1 Zn 0.1888 0.3066 0.9058 1
Si1 Si 0.0000 0.3066 0.4180 1
Si2 Si 0.1715 0.0000 0.4918 1
O1 O 0.0000 0.0000 0.3915 1
O2 O 0.0000 0.2853 0.1069 1
O3 O 0.0000 0.4069 0.4709 1
O4 O 0.1479 0.2634 0.5495 1
O5 O 0.1744 0.0000 0.7952 1
O6 O 0.2478 0.0802 0.3480 1
```

Most intense lines, 10° ≤ 2θ ≤ 90°, in order of rising 2θ:
d 4.595, intensity 59, hkl 2 0 0
d 3.989, intensity 34, hkl 0 4 0
d 3.969, intensity 33, hkl 1 2 1
d 3.383, intensity 61, hkl 2 1 1
d 3.010, intensity 93, hkl 1 5 0
d 2.901, intensity 100, hkl 2 3 1
d 2.647, intensity 50, hkl 3 0 1
d 2.639, intensity 57, hkl 0 0 2
d 2.510, intensity 67, hkl 3 2 1
d 1.592, intensity 69, hkl 3 8 1